The following is a theoretical powder X-ray diffraction pattern of K4LaNp3S8. It was derived from a crystal structure in Alexandria, relaxed with PBE, using Cu Kα (λ = 1.5418 Å).
No peak broadening, texture or thermal motion is included.

Peak list (10 most intense, 2θ = 15–90°, low angle first)
- 24.19°, 3.679 Å, intensity 20.8
- 25.10°, 3.548 Å, intensity 38.7
- 26.07°, 3.418 Å, intensity 46.6
- 29.66°, 3.012 Å, intensity 100.0
- 37.96°, 2.370 Å, intensity 23.5
- 41.25°, 2.189 Å, intensity 36.3
- 43.62°, 2.075 Å, intensity 35.0
- 45.41°, 1.997 Å, intensity 23.0
- 50.49°, 1.807 Å, intensity 18.4
- 53.63°, 1.709 Å, intensity 18.2

Atomic structure:
```
K4LaNp3S8
1.0
4.1503 2.3962 7.3579
-4.1503 2.3962 7.3579
0.0000 -4.7923 7.3579
K La Np S
4 1 3 8
Cartesian
0.0000 0.0000 0.0000
-2.0751 -1.1981 7.3579
-2.0751 1.1981 14.7158
0.0000 2.3962 7.3579
0.0000 0.0000 11.0369
-4.1503 0.0000 11.0369
-2.0751 1.1981 3.6790
2.0751 1.1981 3.6790
-2.1348 -1.2325 12.5407
0.0000 0.0000 5.1248
0.0000 -2.4650 9.5331
-2.1348 1.2325 9.5331
2.1348 -1.2325 12.5407
0.0000 2.4650 12.5407
0.0000 0.0000 16.9489
2.1348 1.2325 9.5331
```